Diffraction record for Ba4NaSn3O12. The powder XRD pattern is simulated, not measured: it uses a PBE-relaxed structure and CuKα.
Kinematic intensities with the Lorentz-polarization factor, no thermal factor.

The 10 most intense peaks (10° ≤ 2θ ≤ 90°), in order of rising 2θ:
2θ (°)  I/Imax
14.68  8
25.56  4
29.60  100
36.47  6
42.36  32
52.52  41
61.45  20
69.67  19
77.48  7
85.05  23

Structural model:
```
Ba4NaSn3O12
1.0
-4.268 4.268 4.268
4.268 -4.268 4.268
4.268 4.268 -4.268
Ba Na Sn O
4 1 3 12
direct
0.000 0.000 0.500
0.000 0.500 0.000
0.500 0.000 0.000
0.500 0.500 0.500
0.000 0.000 0.000
0.000 0.500 0.500
0.500 0.000 0.500
0.500 0.500 0.000
0.000 0.266 0.266
0.000 0.734 0.734
0.250 0.500 0.750
0.250 0.750 0.500
0.266 0.000 0.266
0.266 0.266 0.000
0.500 0.250 0.750
0.500 0.750 0.250
0.734 0.000 0.734
0.734 0.734 0.000
0.750 0.250 0.500
0.750 0.500 0.250
```